No. 1
Starting from the PBE geometry in the Materials Project, the powder X-ray diffraction pattern of AlH3O3 was computed for λ = 1.5418 Å (Cu Kα).
Kinematic intensities with the Lorentz-polarization factor, no thermal factor.

The 12 most intense peaks (10 to 90 degrees two-theta), in order of falling intensity:
18.31°, I 100.0; 20.12°, I 36.7; 36.37°, I 26.7; 36.97°, I 20.1; 20.31°, I 17.6; 44.80°, I 17.0; 51.39°, I 15.6; 53.12°, I 15.0; 52.01°, I 14.5; 45.24°, I 12.7; 46.23°, I 12.1; 63.20°, I 12.1

Crystal structure
Cell: 8.751 5.113 12.827 Å, 90.00 130.95 90.00°
Fractional positions:
Al 0.163 0.025 0.498
Al 0.163 0.475 0.998
Al 0.331 0.533 0.498
Al 0.331 0.967 0.998
Al 0.669 0.033 0.002
Al 0.669 0.467 0.502
Al 0.837 0.525 0.002
Al 0.837 0.975 0.502
H 0.003 0.224 0.208
H 0.003 0.276 0.708
H 0.180 0.055 0.102
H 0.180 0.445 0.602
H 0.208 0.613 0.207
H 0.208 0.887 0.707
H 0.294 0.141 0.376
H 0.294 0.359 0.876
H 0.435 0.681 0.888
H 0.435 0.819 0.388
H 0.482 0.160 0.294
H 0.482 0.340 0.794
H 0.518 0.660 0.206
H 0.518 0.840 0.706
H 0.565 0.181 0.612
H 0.565 0.319 0.112
H 0.706 0.641 0.124
H 0.706 0.859 0.624
H 0.792 0.113 0.293
H 0.792 0.387 0.793
H 0.820 0.555 0.398
H 0.820 0.945 0.898
H 0.997 0.724 0.292
H 0.997 0.776 0.792
O 0.092 0.720 0.394
O 0.092 0.780 0.894
O 0.109 0.633 0.105
O 0.109 0.867 0.605
O 0.205 0.220 0.387
O 0.205 0.280 0.887
O 0.278 0.153 0.104
O 0.278 0.347 0.604
O 0.409 0.634 0.393
O 0.409 0.866 0.893
O 0.431 0.645 0.104
O 0.431 0.855 0.604
O 0.569 0.145 0.396
O 0.569 0.355 0.896
O 0.591 0.134 0.107
O 0.591 0.366 0.607
O 0.722 0.653 0.396
O 0.722 0.847 0.896
O 0.795 0.720 0.113
O 0.795 0.780 0.613
O 0.891 0.133 0.395
O 0.891 0.367 0.895
O 0.908 0.220 0.106
O 0.908 0.280 0.606

No. 2
Starting from the PBE geometry in the Materials Project, the powder X-ray diffraction pattern of AlH3O3 was computed for λ = 1.5418 Å (Cu Kα).
Kinematic intensities with the Lorentz-polarization factor, no thermal factor.

The 12 most intense peaks (10 to 90 degrees two-theta), in order of falling intensity:
18.21°, I 100.0; 46.52°, I 25.2; 38.24°, I 23.5; 47.16°, I 22.9; 48.38°, I 22.8; 37.03°, I 21.6; 36.95°, I 20.8; 20.19°, I 20.3; 20.59°, I 17.6; 21.14°, I 15.9; 24.13°, I 10.7; 23.52°, I 7.7

Crystal structure
Cell: 5.108 6.638 6.644 Å, 83.01 82.69 79.99°
Fractional positions:
Al 0.000 0.000 0.000
Al 0.026 0.669 0.333
Al 0.488 0.162 0.830
Al 0.541 0.499 0.502
H 0.147 0.469 0.721
H 0.224 0.633 0.955
H 0.250 0.940 0.649
H 0.259 0.196 0.199
H 0.373 0.433 0.215
H 0.399 0.852 0.355
H 0.636 0.813 0.980
H 0.777 0.038 0.367
H 0.784 0.724 0.685
H 0.788 0.431 0.163
H 0.816 0.367 0.867
H 0.887 0.189 0.585
O 0.180 0.730 0.060
O 0.208 0.050 0.743
O 0.270 0.124 0.077
O 0.280 0.416 0.353
O 0.309 0.763 0.459
O 0.332 0.446 0.757
O 0.695 0.216 0.569
O 0.724 0.904 0.875
O 0.752 0.260 0.965
O 0.757 0.540 0.256
O 0.827 0.608 0.598
O 0.843 0.936 0.270

No. 3
Starting from the PBE geometry in the Materials Project, the powder X-ray diffraction pattern of AlH3O3 was computed for λ = 1.5418 Å (Cu Kα).
Kinematic intensities with the Lorentz-polarization factor, no thermal factor.

The 12 most intense peaks (10 to 90 degrees two-theta), in order of falling intensity:
19.01°, I 100.0; 21.89°, I 36.5; 22.13°, I 36.2; 40.11°, I 32.8; 40.38°, I 32.5; 20.19°, I 28.5; 45.78°, I 26.7; 46.15°, I 20.5; 27.87°, I 18.7; 62.92°, I 12.5; 63.21°, I 12.0; 61.76°, I 12.0

Crystal structure
Cell: 9.338 8.796 5.204 Å, 90.00 90.91 90.00°
Fractional positions:
Al 0.006 0.169 0.016
Al 0.006 0.331 0.516
Al 0.493 0.669 0.024
Al 0.493 0.831 0.524
Al 0.507 0.169 0.476
Al 0.507 0.331 0.976
Al 0.994 0.669 0.484
Al 0.994 0.831 0.984
H 0.122 0.512 0.805
H 0.122 0.988 0.305
H 0.190 0.638 0.149
H 0.190 0.862 0.649
H 0.198 0.134 0.671
H 0.198 0.366 0.171
H 0.299 0.639 0.671
H 0.299 0.861 0.171
H 0.303 0.157 0.142
H 0.303 0.343 0.642
H 0.388 0.017 0.804
H 0.388 0.483 0.304
H 0.612 0.517 0.696
H 0.612 0.983 0.196
H 0.697 0.657 0.358
H 0.697 0.843 0.858
H 0.701 0.139 0.829
H 0.701 0.361 0.329
H 0.802 0.634 0.829
H 0.802 0.866 0.329
H 0.810 0.138 0.351
H 0.810 0.362 0.851
H 0.878 0.012 0.695
H 0.878 0.488 0.195
O 0.092 0.675 0.170
O 0.092 0.825 0.670
O 0.118 0.509 0.617
O 0.118 0.991 0.117
O 0.119 0.198 0.724
O 0.119 0.302 0.224
O 0.381 0.009 0.616
O 0.381 0.491 0.116
O 0.384 0.696 0.723
O 0.384 0.804 0.223
O 0.406 0.174 0.154
O 0.406 0.326 0.654
O 0.594 0.674 0.346
O 0.594 0.826 0.846
O 0.616 0.196 0.777
O 0.616 0.304 0.277
O 0.619 0.509 0.884
O 0.619 0.991 0.384
O 0.881 0.698 0.776
O 0.881 0.802 0.276
O 0.882 0.009 0.883
O 0.882 0.491 0.383
O 0.908 0.175 0.330
O 0.908 0.325 0.830

No. 4
Starting from the PBE geometry in the Materials Project, the powder X-ray diffraction pattern of AlP2H2O9 was computed for λ = 1.5418 Å (Cu Kα).
Kinematic intensities with the Lorentz-polarization factor, no thermal factor.

The 12 most intense peaks (10 to 90 degrees two-theta), in order of falling intensity:
11.60°, I 100.0; 13.94°, I 82.0; 13.27°, I 66.5; 28.95°, I 65.3; 30.43°, I 65.3; 10.86°, I 47.8; 21.83°, I 44.4; 30.22°, I 36.1; 26.84°, I 29.1; 33.64°, I 28.8; 26.16°, I 26.0; 30.10°, I 24.7

Crystal structure
Cell: 7.400 8.771 9.272 Å, 64.45 69.27 67.85°
Fractional positions:
Al 0.000 0.000 0.000
Al 0.207 0.215 0.438
Al 0.793 0.785 0.562
P 0.074 0.622 0.275
P 0.081 0.848 0.722
P 0.435 0.053 0.725
P 0.565 0.947 0.275
P 0.919 0.152 0.278
P 0.926 0.378 0.725
H 0.157 0.506 0.667
H 0.353 0.939 0.161
H 0.375 0.657 0.701
H 0.625 0.343 0.299
H 0.647 0.061 0.839
H 0.843 0.494 0.333
O 0.019 0.683 0.422
O 0.032 0.233 0.322
O 0.050 0.086 0.135
O 0.115 0.402 0.749
O 0.137 0.768 0.120
O 0.162 0.993 0.576
O 0.238 0.447 0.303
O 0.253 0.022 0.864
O 0.266 0.694 0.787
O 0.384 0.186 0.560
O 0.384 0.329 0.979
O 0.429 0.124 0.294
O 0.443 0.860 0.236
O 0.500 0.500 0.500
O 0.557 0.140 0.764
O 0.571 0.876 0.706
O 0.616 0.671 0.021
O 0.616 0.814 0.440
O 0.734 0.306 0.213
O 0.747 0.978 0.136
O 0.762 0.553 0.697
O 0.838 0.007 0.424
O 0.863 0.232 0.880
O 0.885 0.598 0.251
O 0.950 0.914 0.865
O 0.968 0.767 0.678
O 0.981 0.317 0.578

No. 5
Starting from the PBE geometry in the Materials Project, the powder X-ray diffraction pattern of Al2PH3O7 was computed for λ = 1.5418 Å (Cu Kα).
Kinematic intensities with the Lorentz-polarization factor, no thermal factor.

The 12 most intense peaks (10 to 90 degrees two-theta), in order of falling intensity:
26.29°, I 100.0; 24.95°, I 96.5; 25.17°, I 46.0; 48.01°, I 40.6; 18.72°, I 36.2; 21.87°, I 29.9; 35.56°, I 29.1; 18.58°, I 27.9; 46.20°, I 27.5; 27.96°, I 23.3; 73.38°, I 14.8; 56.88°, I 12.1

Crystal structure
Cell: 7.782 7.782 5.161 Å, 108.85 108.85 62.96°
Fractional positions:
Al 0.189 0.189 0.981
Al 0.199 0.801 0.000
Al 0.801 0.199 0.000
Al 0.811 0.811 0.019
P 0.352 0.352 0.628
P 0.648 0.648 0.372
H 0.126 0.126 0.398
H 0.142 0.636 0.299
H 0.364 0.858 0.701
H 0.636 0.142 0.299
H 0.858 0.364 0.701
H 0.874 0.874 0.602
O 0.072 0.712 0.152
O 0.085 0.085 0.196
O 0.258 0.258 0.733
O 0.265 0.578 0.717
O 0.288 0.928 0.848
O 0.304 0.304 0.303
O 0.422 0.735 0.283
O 0.578 0.265 0.717
O 0.696 0.696 0.697
O 0.712 0.072 0.152
O 0.735 0.422 0.283
O 0.742 0.742 0.267
O 0.915 0.915 0.804
O 0.928 0.288 0.848